# GaAgSe2
Calculated powder diffractogram, copper Kα. Input: a DFT-relaxed cell (PBE, the Materials Project).
Neutral-atom scattering factors, no anomalous dispersion.

Most intense lines, 10 to 90 degrees two-theta, sorted by position:
h k l, d/Å, I_rel
1 1 2, 3.411, 100
2 2 0, 2.143, 26
2 0 4, 2.063, 47
3 1 2, 1.814, 30
1 1 6, 1.720, 13
4 0 0, 1.515, 8
3 1 6, 1.341, 11
4 2 4, 1.221, 14
2 2 8, 1.177, 7
5 1 2, 1.163, 6

Atomic structure:
abc: 6.0600 6.0600 11.2701
angles: 90.00 90.00 90.00
Space group I-42d (No. 122)
One atom of each set of equivalent atoms:
1 Ga 0.0000 0.0000 0.0000 [4 per cell]
2 Ag 0.0000 0.0000 0.5000 [4 per cell]
3 Se 0.2205 0.2500 0.1250 [8 per cell]